This entry pairs a crystal structure of Tb5Y4Ho with its computed XRD peak list. Radiation: Cu Kα. Structure: a GGA-PBE-relaxed structure.
Peak positions follow from Bragg's law for the DFT cell and can differ from measured ones.

a = 3.5644 Å, b = 6.8155 Å, c = 13.9339 Å
α = 82.41°, β = 89.81°, γ = 74.85°
Space group P-1 (No. 2)
Unique sites:
Tb (0.0000, 0.0000, 0.0000) x1
Tb (0.0376, 0.9168, 0.3848) x2
Tb (0.3170, 0.3746, 0.4156) x2
Y (0.3178, 0.3287, 0.7897) x2
Y (0.3759, 0.2015, 0.1925) x2
Ho (0.5000, 0.5000, 0.0000) x1

The 10 most intense peaks (10 to 80 degrees two-theta), sorted by position:
d = 6.902 Å, intensity 11; d = 3.032 Å, intensity 36; d = 2.848 Å, intensity 53; d = 2.804 Å, intensity 100; d = 2.758 Å, intensity 93; d = 2.115 Å, intensity 14; d = 1.874 Å, intensity 14; d = 1.646 Å, intensity 17; d = 1.618 Å, intensity 18; d = 1.563 Å, intensity 16